1.
This entry pairs a crystal structure of KP2Pd4 with its simulated PXRD pattern. Radiation: Cu Kα (weighted mean of Kα1 and Kα2). Structure: a crystal structure in Alexandria, relaxed with PBE.
Neutral-atom scattering factors, no anomalous dispersion.

Peak list (6 most intense, 15° ≤ 2θ ≤ 90°, in order of rising 2θ)
h k l	2θ (°)	Rel. int.
1 3 1	34.63	100
0 6 0	34.81	19
1 5 1	41.99	59
2 0 0	42.68	49
2 2 0	44.34	22
3 3 1	72.96	22

Cell and atoms:
a b c (Å): 4.2383 15.4654 4.2348
angles (deg): 90.00 90.00 90.00
Space group Cmmm (No. 65)
Symmetry-distinct sites (fractional):
1 K 0.0000 0.0000 0.0000
2 P 0.0000 0.3748 0.5000
3 Pd 0.0000 0.1873 0.5000
4 Pd 0.0000 0.3130 0.0000

=====

2.
This entry pairs a crystal structure of K2PPd2 with its simulated PXRD pattern. Radiation: Cu Kα (weighted mean of Kα1 and Kα2). Structure: a crystal structure in Alexandria, relaxed with PBE.
Neutral-atom scattering factors, no anomalous dispersion.

Peak list (6 most intense, 15° ≤ 2θ ≤ 90°, in order of rising 2θ)
h k l	2θ (°)	Rel. int.
1 1 2	29.95	100
1 0 9	30.44	82
1 0 11	34.29	47
1 0 13	38.46	37
2 0 0	42.25	39
2 1 9	52.96	32

Cell and atoms:
a b c (Å): 4.2778 4.2778 36.3497
angles (deg): 90.00 90.00 90.00
Space group I4_1/amd (No. 141, origin choice 2)
Symmetry-distinct sites (fractional):
1 K 0.0000 0.2500 0.0563
2 P 0.0000 0.2500 0.3750
3 Pd 0.0000 0.2500 0.1492

=====

3.
This entry pairs a crystal structure of K3PPd4 with its simulated PXRD pattern. Radiation: Cu Kα (weighted mean of Kα1 and Kα2). Structure: a crystal structure in Alexandria, relaxed with PBE.
Neutral-atom scattering factors, no anomalous dispersion.

Peak list (6 most intense, 15° ≤ 2θ ≤ 90°, in order of rising 2θ)
h k l	2θ (°)	Rel. int.
1 1 0	16.71	100
0 4 1	32.41	51
0 2 2	33.90	32
2 0 1	34.25	57
1 4 1	35.94	40
2 2 1	37.21	71

Cell and atoms:
a b c (Å): 5.8599 12.5486 5.8318
angles (deg): 90.00 90.00 90.00
Space group Pmmn (No. 59, origin choice 2)
Symmetry-distinct sites (fractional):
1 K 0.2500 0.0082 0.1781
2 K 0.2500 0.2500 0.5140
3 P 0.2500 0.7500 0.3092
4 Pd 0.0144 0.7500 0.9961
5 Pd 0.2500 0.6436 0.6333